The following is a simulated X-ray diffraction stick pattern of Y6MgRu2. It was derived from DFT lattice parameters and positions (GGA-PBE), using Cu Kα (λ = 1.5418 Å).
Lines closer than 0.1° are merged.

Principal peaks in the range 2θ = 5–70°, by angle:
2θ (°), I_rel
13.13, 87
31.52, 74
33.15, 75
34.07, 100
34.85, 95
35.11, 59
38.12, 35
38.43, 44
39.02, 54
59.43, 36

Structure:
```
Y6MgRu2
1.0
-4.7220 4.8167 5.2596
4.7220 -4.8167 5.2596
4.7220 4.8167 -5.2596
Y Mg Ru
12 2 4
Direct
0.0367 0.2403 0.7963
0.1832 0.2842 0.4674
0.1832 0.7158 0.8990
0.3260 0.0111 0.6851
0.3260 0.6409 0.3149
0.4440 0.2403 0.2037
0.5560 0.7597 0.7963
0.6740 0.3591 0.6851
0.6740 0.9889 0.3149
0.8168 0.2842 0.1010
0.8168 0.7158 0.5326
0.9633 0.7597 0.2037
0.0000 0.0000 0.0000
0.5000 0.5000 0.0000
0.1239 0.6239 0.5000
0.3179 0.0000 0.3179
0.6821 0.0000 0.6821
0.8761 0.3761 0.5000
```



The following is a simulated X-ray diffraction stick pattern of NaCe2Tl2. It was derived from DFT lattice parameters and positions (GGA-PBE), using Cu Kα (λ = 1.5418 Å).
Lines closer than 0.1° are merged.

Principal peaks in the range 2θ = 5–70°, by angle:
2θ (°), I_rel
16.62, 29
20.54, 32
31.07, 27
32.29, 100
33.61, 41
34.74, 37
38.36, 48
41.36, 20
49.11, 29
64.73, 21

Structure:
```
NaCe2Tl2
1.0
-2.5823 3.6132 3.9512
2.5823 -3.6132 3.9512
2.5823 3.6132 -3.9512
Na Ce Tl
1 2 2
Direct
0.0000 0.0000 0.0000
0.3270 0.8270 0.5000
0.6730 0.1730 0.5000
0.2800 0.5000 0.7800
0.7200 0.5000 0.2200
```



The following is a simulated X-ray diffraction stick pattern of YU2Tc2. It was derived from DFT lattice parameters and positions (GGA-PBE), using Cu Kα (λ = 1.5418 Å).
Lines closer than 0.1° are merged.

Principal peaks in the range 2θ = 5–70°, by angle:
2θ (°), I_rel
13.05, 80
26.17, 42
30.25, 23
32.91, 68
34.68, 81
37.41, 61
40.29, 100
40.48, 29
48.56, 47
48.73, 32

Structure:
```
YU2Tc2
1.0
2.5864 -6.7865 0.0000
2.5864 6.7865 0.0000
0.0000 0.0000 5.9416
Y U Tc
2 4 4
Direct
0.0698 0.9302 0.7500
0.9302 0.0698 0.2500
0.3039 0.6961 0.0221
0.3039 0.6961 0.4779
0.6961 0.3039 0.5221
0.6961 0.3039 0.9779
0.1428 0.8572 0.2500
0.4442 0.5558 0.7500
0.5558 0.4442 0.2500
0.8572 0.1428 0.7500
```



The following is a simulated X-ray diffraction stick pattern of DyScBi2O6. It was derived from DFT lattice parameters and positions (GGA-PBE), using Cu Kα (λ = 1.5418 Å).
Lines closer than 0.1° are merged.

Principal peaks in the range 2θ = 5–70°, by angle:
2θ (°), I_rel
21.04, 43
29.59, 96
30.27, 100
37.16, 12
42.84, 42
47.75, 35
52.08, 14
53.35, 42
53.77, 27
62.95, 14

Structure:
```
DyScBi2O6
1.0
2.9529 1.7049 4.9859
-2.9529 1.7049 4.9859
0.0000 -3.4098 4.9859
Dy Sc Bi O
1 1 2 6
Direct
0.0000 0.0000 0.0000
0.4966 0.4966 0.4966
0.2842 0.2842 0.2842
0.7840 0.7840 0.7840
0.1439 0.6854 0.3540
0.2050 0.6376 0.8304
0.3540 0.1439 0.6854
0.6376 0.8304 0.2050
0.6854 0.3540 0.1439
0.8304 0.2050 0.6376
```



The following is a simulated X-ray diffraction stick pattern of Ac3PmTc2N6. It was derived from DFT lattice parameters and positions (GGA-PBE), using Cu Kα (λ = 1.5418 Å).
Lines closer than 0.1° are merged.

Principal peaks in the range 2θ = 5–70°, by angle:
2θ (°), I_rel
21.01, 17
29.26, 100
30.49, 91
42.77, 43
51.89, 23
52.67, 40
54.95, 15
60.69, 20
63.47, 11
69.44, 18

Structure:
```
Ac3PmTc2N6
1.0
6.1040 0.0000 0.0000
-3.0520 5.2863 0.0000
0.0000 0.0000 7.0454
Ac Pm Tc N
3 1 2 6
Direct
0.0000 0.0000 0.0000
0.3333 0.6667 0.6939
0.6667 0.3333 0.3061
0.0000 0.0000 0.5000
0.3333 0.6667 0.1868
0.6667 0.3333 0.8132
0.1715 0.3429 0.2815
0.1715 0.8285 0.2815
0.3429 0.1715 0.7185
0.6571 0.8285 0.2815
0.8285 0.1715 0.7185
0.8285 0.6571 0.7185
```



The following is a simulated X-ray diffraction stick pattern of Dy3B2SbRh9. It was derived from DFT lattice parameters and positions (GGA-PBE), using Cu Kα (λ = 1.5418 Å).
Lines closer than 0.1° are merged.

Principal peaks in the range 2θ = 5–70°, by angle:
2θ (°), I_rel
10.14, 14
26.94, 15
30.75, 23
36.85, 99
41.11, 100
41.40, 20
47.52, 24
55.53, 14
63.41, 29
64.82, 14

Structure:
```
Dy3B2SbRh9
1.0
5.8679 0.0000 0.0000
-2.9340 5.0818 0.0000
0.0000 0.0000 8.7242
Dy B Sb Rh
3 2 1 9
Direct
0.0000 0.0000 0.0000
0.3333 0.6667 0.6939
0.6667 0.3333 0.3061
0.3333 0.6667 0.1454
0.6667 0.3333 0.8546
0.0000 0.0000 0.5000
0.0000 0.5000 0.0000
0.1630 0.3260 0.2701
0.1630 0.8370 0.2701
0.3260 0.1630 0.7299
0.5000 0.0000 0.0000
0.5000 0.5000 0.0000
0.6740 0.8370 0.2701
0.8370 0.1630 0.7299
0.8370 0.6740 0.7299
```



The following is a simulated X-ray diffraction stick pattern of Pd2PtAu. It was derived from DFT lattice parameters and positions (GGA-PBE), using Cu Kα (λ = 1.5418 Å).
Lines closer than 0.1° are merged.

Principal peaks in the range 2θ = 5–70°, by angle:
2θ (°), I_rel
22.15, 8
31.63, 7
38.95, 100
45.19, 16
45.33, 33
51.01, 4
56.20, 3
65.93, 21
66.05, 11

Structure:
```
Pd2PtAu
1.0
2.8291 0.0000 0.0000
0.0000 2.8291 0.0000
0.0000 0.0000 8.0266
Pd Pt Au
2 1 1
Direct
0.0000 0.0000 0.2428
0.0000 0.0000 0.7572
0.5000 0.5000 0.0000
0.5000 0.5000 0.5000
```



The following is a simulated X-ray diffraction stick pattern of SbTe3Pb2. It was derived from DFT lattice parameters and positions (GGA-PBE), using Cu Kα (λ = 1.5418 Å).
Lines closer than 0.1° are merged.

Principal peaks in the range 2θ = 5–70°, by angle:
2θ (°), I_rel
20.21, 35
23.25, 53
27.34, 84
30.71, 100
34.62, 28
36.19, 34
41.08, 28
41.58, 88
44.67, 27
50.05, 35

Structure:
```
SbTe3Pb2
1.0
3.2620 -7.7728 0.0000
3.2620 7.7728 0.0000
0.0000 0.0000 4.3941
Sb Te Pb
1 3 2
Direct
0.0000 0.0000 0.0000
0.1390 0.8610 0.5000
0.5000 0.5000 0.0000
0.8610 0.1390 0.5000
0.3499 0.6501 0.5000
0.6501 0.3499 0.5000
```



The following is a simulated X-ray diffraction stick pattern of NaCr5S8. It was derived from DFT lattice parameters and positions (GGA-PBE), using Cu Kα (λ = 1.5418 Å).
Lines closer than 0.1° are merged.

Principal peaks in the range 2θ = 5–70°, by angle:
2θ (°), I_rel
10.15, 57
10.78, 100
12.51, 58
33.41, 71
34.42, 29
39.87, 29
41.32, 41
48.32, 30
52.39, 49
52.57, 31

Structure:
```
NaCr5S8
1.0
9.0976 -1.7410 0.0000
9.0976 1.7410 0.0000
-2.4684 0.0000 8.2102
Na Cr S
1 5 8
Direct
0.0000 0.0000 0.0000
0.1206 0.1206 0.4698
0.1676 0.1676 0.8384
0.4634 0.4634 0.5033
0.7598 0.7598 0.1737
0.8089 0.8089 0.5453
0.0418 0.0418 0.6482
0.2276 0.2276 0.3566
0.2910 0.2910 0.0208
0.3865 0.3865 0.6933
0.5440 0.5440 0.3192
0.6342 0.6342 0.9917
0.7014 0.7014 0.6610
0.8847 0.8847 0.3617
```



The following is a simulated X-ray diffraction stick pattern of Tb3Ga9Pt2. It was derived from DFT lattice parameters and positions (GGA-PBE), using Cu Kα (λ = 1.5418 Å).
Lines closer than 0.1° are merged.

Principal peaks in the range 2θ = 5–70°, by angle:
2θ (°), I_rel
22.82, 16
34.13, 15
34.56, 19
35.28, 100
35.77, 12
37.19, 14
42.40, 13
42.64, 27
44.07, 17
62.99, 12

Structure:
```
Tb3Ga9Pt2
1.0
-2.1203 5.0201 6.1652
2.1203 -5.0201 6.1652
2.1203 5.0201 -6.1652
Tb Ga Pt
3 9 2
Direct
0.0000 0.0000 0.0000
0.3231 0.3231 0.0000
0.6769 0.6769 0.0000
0.0430 0.6683 0.3747
0.1483 0.8704 0.2779
0.2937 0.6683 0.6253
0.4075 0.1296 0.2779
0.5000 0.0000 0.5000
0.5925 0.8704 0.7221
0.7063 0.3317 0.3747
0.8517 0.1296 0.7221
0.9570 0.3317 0.6253
0.2746 0.5000 0.7746
0.7254 0.5000 0.2254
```



The following is a simulated X-ray diffraction stick pattern of Ce2ThAg6. It was derived from DFT lattice parameters and positions (GGA-PBE), using Cu Kα (λ = 1.5418 Å).
Lines closer than 0.1° are merged.

Principal peaks in the range 2θ = 5–70°, by angle:
2θ (°), I_rel
11.97, 5
20.81, 6
34.59, 100
36.46, 85
46.16, 2
51.14, 33
56.36, 8
64.43, 32
65.63, 15
69.01, 25

Structure:
```
Ce2ThAg6
1.0
8.5356 0.0000 0.0000
-4.2678 7.3920 0.0000
0.0000 0.0000 3.2648
Ce Th Ag
2 1 6
Direct
0.3333 0.6667 0.0000
0.6667 0.3333 0.0000
0.0000 0.0000 0.0000
0.0000 0.3340 0.5000
0.0000 0.6660 0.5000
0.3340 0.0000 0.5000
0.3340 0.3340 0.5000
0.6660 0.0000 0.5000
0.6660 0.6660 0.5000
```



The following is a simulated X-ray diffraction stick pattern of Pm2Be4Si3Au. It was derived from DFT lattice parameters and positions (GGA-PBE), using Cu Kα (λ = 1.5418 Å).
Lines closer than 0.1° are merged.

Principal peaks in the range 2θ = 5–70°, by angle:
2θ (°), I_rel
8.95, 60
24.26, 88
33.32, 31
35.48, 54
36.37, 19
36.96, 100
45.93, 35
51.72, 23
52.61, 23
59.35, 25

Structure:
```
Pm2Be4Si3Au
1.0
3.9518 0.0000 0.0000
0.0000 3.9518 0.0000
0.0000 0.0000 9.8807
Pm Be Si Au
2 4 3 1
Direct
0.0000 0.5000 0.2416
0.5000 0.0000 0.7584
0.0000 0.0000 0.0000
0.0000 0.5000 0.6367
0.5000 0.0000 0.3633
0.5000 0.5000 0.0000
0.0000 0.5000 0.8701
0.5000 0.0000 0.1299
0.5000 0.5000 0.5000
0.0000 0.0000 0.5000
```



The following is a simulated X-ray diffraction stick pattern of Cd3Ag3Au4. It was derived from DFT lattice parameters and positions (GGA-PBE), using Cu Kα (λ = 1.5418 Å).
Lines closer than 0.1° are merged.

Principal peaks in the range 2θ = 5–70°, by angle:
2θ (°), I_rel
23.95, 25
34.27, 14
36.31, 100
36.55, 99
38.45, 39
38.78, 39
49.04, 26
49.44, 15
63.98, 17
64.21, 18

Structure:
```
Cd3Ag3Au4
1.0
3.7151 0.0000 0.0000
0.0000 5.2506 5.1777
0.0000 -5.2506 5.1777
Cd Ag Au
3 3 4
Direct
0.0000 0.0000 0.0000
0.0000 0.1742 0.5055
0.0000 0.5055 0.1742
0.0000 0.6753 0.6753
0.5000 0.3388 0.8363
0.5000 0.8363 0.3388
0.5000 0.2013 0.2013
0.5000 0.4761 0.4761
0.5000 0.7006 0.9723
0.5000 0.9723 0.7006
```